No. 1
This entry pairs a crystal structure of Pm5DyEr5 with its computed X-ray powder pattern. Radiation: a wavelength of 1.5418 Å. Structure: a DFT-relaxed cell (GGA-PBE, Alexandria).
Peak positions follow from Bragg's law for the DFT cell and can differ from measured ones.

Main lines, by intensity (10° ≤ 2θ ≤ 90°):
30.06°, intensity 100; 33.33°, intensity 67; 33.44°, intensity 66; 30.58°, intensity 43; 43.42°, intensity 33; 55.54°, intensity 31

Structure:
a = 9.8894 Å, b = 9.8894 Å, c = 7.0162 Å
α = 110.55°, β = 110.55°, γ = 34.97°
Sites, in units of the cell vectors:
Pm: 0.0000 0.0000 0.0000
Pm: 0.3233 0.3233 0.0674
Pm: 0.3234 0.3234 0.5782
Pm: 0.6766 0.6766 0.4218
Pm: 0.6767 0.6767 0.9326
Dy: 0.5000 0.5000 0.0000
Er: 0.1223 0.1223 0.6243
Er: 0.1687 0.1687 0.1703
Er: 0.5000 0.5000 0.5000
Er: 0.8313 0.8313 0.8297
Er: 0.8777 0.8777 0.3757

***

No. 2
This entry pairs a crystal structure of Pm4Zn3Ag2 with its computed X-ray powder pattern. Radiation: a wavelength of 1.5418 Å. Structure: a DFT-relaxed cell (GGA-PBE, Alexandria).
Peak positions follow from Bragg's law for the DFT cell and can differ from measured ones.

Main lines, by intensity (10° ≤ 2θ ≤ 90°):
33.91°, intensity 100; 35.73°, intensity 98; 50.08°, intensity 33; 63.03°, intensity 32; 64.19°, intensity 17; 22.28°, intensity 16

Structure:
a = 5.0259 Å, b = 5.0259 Å, c = 9.9834 Å
α = 90.00°, β = 90.00°, γ = 120.00°
Sites, in units of the cell vectors:
Pm: 0.0000 0.0000 0.1616
Pm: 0.0000 0.0000 0.8384
Pm: 0.3333 0.6667 0.6110
Pm: 0.6667 0.3333 0.3890
Zn: 0.0000 0.0000 0.5000
Zn: 0.3333 0.6667 0.0038
Zn: 0.6667 0.3333 0.9962
Ag: 0.3333 0.6667 0.2977
Ag: 0.6667 0.3333 0.7023

***

No. 3
This entry pairs a crystal structure of AcLaSb2Pd2 with its computed X-ray powder pattern. Radiation: a wavelength of 1.5418 Å. Structure: a DFT-relaxed cell (GGA-PBE, Alexandria).
Peak positions follow from Bragg's law for the DFT cell and can differ from measured ones.

Main lines, by intensity (10° ≤ 2θ ≤ 90°):
30.62°, intensity 100; 38.49°, intensity 53; 59.02°, intensity 29; 49.96°, intensity 26; 64.78°, intensity 23; 42.94°, intensity 12

Structure:
a = 4.6779 Å, b = 4.6779 Å, c = 8.4247 Å
α = 90.00°, β = 90.00°, γ = 120.00°
Sites, in units of the cell vectors:
Ac: 0.0000 0.0000 0.0000
La: 0.0000 0.0000 0.5000
Sb: 0.3333 0.6667 0.2627
Sb: 0.6667 0.3333 0.7373
Pd: 0.3333 0.6667 0.7454
Pd: 0.6667 0.3333 0.2546